This entry pairs a crystal structure of KCaSn4 with its calculated X-ray powder pattern. Radiation: Cu Kα (weighted mean of Kα1 and Kα2). Structure: a cell relaxed with PBE.
Neutral-atom scattering factors, no anomalous dispersion.

Largest 6 diffraction maxima, in order of rising 2θ, 10 to 90 degrees two-theta:
two_theta, I/Imax
14.7, 65
23.5, 48
25.0, 83
30.3, 39
33.9, 100
40.3, 78

Atomic structure:
```
data_KCaSn4
_chemical_formula_sum 'K2 Ca2 Sn8'
_space_group_name_H-M_alt 'C 1 2/m 1'
_space_group_IT_number 12
_cell_length_a 7.7458
_cell_length_b 4.4762
_cell_length_c 12.3581
_cell_angle_alpha 90.00
_cell_angle_beta 101.97
_cell_angle_gamma 90.00
loop_
_space_group_symop_operation_xyz
'x,y,z'
'-x,-y,-z'
'-x,y,-z'
'x,-y,z'
'x+1/2,y+1/2,z'
'-x+1/2,-y+1/2,-z'
'-x+1/2,y+1/2,-z'
'x+1/2,-y+1/2,z'
loop_
_atom_site_label
_atom_site_fract_x
_atom_site_fract_y
_atom_site_fract_z
_atom_site_occupancy
K1 0.0000 0.0000 0.0000 1
Ca1 0.0000 0.5000 0.5000 1
Sn1 0.0943 0.5000 0.7844 1
Sn2 0.1102 0.0000 0.3305 1
```